Structure and simulated PXRD pattern of MoRuO3 (DFT lattice parameters and positions (PBE+U); CuKα).
Neutral-atom scattering factors, no anomalous dispersion.

Principal peaks in the range 10 to 90 degrees two-theta, by angle:
d [Å]  2θ (°)  Rel. int.  (hkl)
3.954  22.49  6  1 0 0
2.796  32.01  1000  1 1 0
2.283  39.47  32  1 1 1
1.977  45.90  322  2 0 0
1.614  57.06  381  2 1 1
1.398  66.94  190  2 2 0
1.250  76.13  164  3 1 0
1.192  80.58  6  3 1 1
1.141  84.97  65  2 2 2

Structure:
Lattice parameters (Å, degrees): 3.954 3.954 3.954 90.00 90.00 90.00
Sites, in units of the cell vectors:
Mo: 0.000 0.000 0.000
Ru: 0.500 0.500 0.500
O: 0.000 0.000 0.500
O: 0.000 0.500 0.000
O: 0.500 0.000 0.000